Structure and calculated X-ray powder pattern of Li3AlH6 (a DFT-relaxed cell (PBE, the Materials Project); copper Kα).

Structural model:
Unit cell a=5.6007 b=5.6007 c=5.6007 alpha=91.39 beta=91.39 gamma=91.39
Fractional positions:
Li (0.0610, 0.5670, 0.7488)
Li (0.2512, 0.9390, 0.4330)
Li (0.4330, 0.2512, 0.9390)
Li (0.5670, 0.7488, 0.0610)
Li (0.7488, 0.0610, 0.5670)
Li (0.9390, 0.4330, 0.2512)
Al (0.0000, 0.0000, 0.0000)
Al (0.5000, 0.5000, 0.5000)
H (0.0483, 0.9109, 0.7047)
H (0.0891, 0.2953, 0.9517)
H (0.2050, 0.5695, 0.4265)
H (0.2953, 0.9517, 0.0891)
H (0.4265, 0.2050, 0.5695)
H (0.4305, 0.5735, 0.7950)
H (0.5695, 0.4265, 0.2050)
H (0.5735, 0.7950, 0.4305)
H (0.7047, 0.0483, 0.9109)
H (0.7950, 0.4305, 0.5735)
H (0.9109, 0.7047, 0.0483)
H (0.9517, 0.0891, 0.2953)

Top 10 peaks for 5 to 70 degrees two-theta, sorted by position:
2θ 22.18, I = 934
2θ 22.75, I = 1000
2θ 31.98, I = 600
2θ 38.92, I = 279
2θ 39.26, I = 684
2θ 40.28, I = 239
2θ 51.22, I = 224
2θ 52.05, I = 297
2θ 61.18, I = 215
2θ 62.16, I = 179

---

Structure and calculated X-ray powder pattern of Rb3Hf (a DFT-relaxed cell (PBE, the Materials Project); copper Kα).

Structural model:
Unit cell a=6.2061 b=6.2061 c=12.2057 alpha=90.00 beta=90.00 gamma=90.00
Fractional positions:
Rb (0.0000, 0.0000, 0.0000)
Rb (0.0000, 0.5000, 0.2500)
Rb (0.0000, 0.5000, 0.7500)
Rb (0.5000, 0.0000, 0.2500)
Rb (0.5000, 0.0000, 0.7500)
Rb (0.5000, 0.5000, 0.5000)
Hf (0.0000, 0.0000, 0.5000)
Hf (0.5000, 0.5000, 0.0000)

Top 10 peaks for 5 to 70 degrees two-theta, sorted by position:
2θ 16.02, I = 112
2θ 24.99, I = 1000
2θ 28.77, I = 350
2θ 29.27, I = 167
2θ 41.14, I = 132
2θ 41.50, I = 257
2θ 48.74, I = 321
2θ 49.38, I = 161
2θ 51.28, I = 138
2θ 66.16, I = 134

---

Structure and calculated X-ray powder pattern of K2NaTiF6 (a DFT-relaxed cell (PBE, the Materials Project); copper Kα).

Structural model:
Unit cell a=6.0184 b=6.0184 c=6.0184 alpha=60.00 beta=60.00 gamma=60.00
Fractional positions:
K (0.2500, 0.2500, 0.2500)
K (0.7500, 0.7500, 0.7500)
Na (0.0000, 0.0000, 0.0000)
Ti (0.5000, 0.5000, 0.5000)
F (0.2664, 0.2664, 0.7336)
F (0.2664, 0.7336, 0.2664)
F (0.2664, 0.7336, 0.7336)
F (0.7336, 0.2664, 0.2664)
F (0.7336, 0.2664, 0.7336)
F (0.7336, 0.7336, 0.2664)

Top 10 peaks for 5 to 70 degrees two-theta, sorted by position:
2θ 18.05, I = 237
2θ 20.87, I = 92
2θ 29.69, I = 1000
2θ 34.96, I = 34
2θ 36.57, I = 433
2θ 42.48, I = 927
2θ 52.68, I = 339
2θ 56.15, I = 49
2θ 61.64, I = 490
2θ 69.90, I = 159

---

Structure and calculated X-ray powder pattern of MgSc2Nb2O8 (a DFT-relaxed cell (PBE, the Materials Project); copper Kα).

Structural model:
Unit cell a=5.2766 b=5.3088 c=6.2165 alpha=83.56 beta=85.81 gamma=75.71
Fractional positions:
Mg (0.0000, 0.0000, 0.0000)
Sc (0.3981, 0.2405, 0.0881)
Sc (0.8893, 0.1600, 0.4696)
Nb (0.3862, 0.6705, 0.5170)
Nb (0.7971, 0.6465, 0.7640)
O (0.0285, 0.3693, 0.9928)
O (0.0407, 0.4621, 0.5431)
O (0.0981, 0.8882, 0.7107)
O (0.1778, 0.9620, 0.2745)
O (0.5254, 0.4292, 0.7995)
O (0.5464, 0.4176, 0.3140)
O (0.6268, 0.9175, 0.5073)
O (0.6599, 0.9153, 0.9812)

Top 10 peaks for 5 to 70 degrees two-theta, sorted by position:
2θ 14.35, I = 826
2θ 17.33, I = 417
2θ 21.44, I = 1000
2θ 23.12, I = 400
2θ 23.63, I = 597
2θ 27.27, I = 753
2θ 30.71, I = 442
2θ 35.27, I = 357
2θ 39.66, I = 441
2θ 40.99, I = 469

---

Structure and calculated X-ray powder pattern of Sr3Ho (a DFT-relaxed cell (PBE, the Materials Project); copper Kα).

Structural model:
Unit cell a=8.0878 b=8.0878 c=6.5656 alpha=90.00 beta=90.00 gamma=120.00
Fractional positions:
Sr (0.1717, 0.3434, 0.2500)
Sr (0.1717, 0.8283, 0.2500)
Sr (0.3434, 0.1717, 0.7500)
Sr (0.6566, 0.8283, 0.2500)
Sr (0.8283, 0.1717, 0.7500)
Sr (0.8283, 0.6566, 0.7500)
Ho (0.3333, 0.6667, 0.7500)
Ho (0.6667, 0.3333, 0.2500)

Top 10 peaks for 5 to 70 degrees two-theta, sorted by position:
2θ 18.52, I = 72
2θ 25.43, I = 230
2θ 27.16, I = 261
2θ 28.89, I = 1000
2θ 37.55, I = 165
2θ 44.83, I = 197
2θ 49.09, I = 229
2θ 53.20, I = 238
2θ 54.21, I = 168
2θ 68.64, I = 83

---

Structure and calculated X-ray powder pattern of MgCuTeO4 (a DFT-relaxed cell (PBE, the Materials Project); copper Kα).

Structural model:
Unit cell a=3.0754 b=5.7204 c=5.9479 alpha=70.88 beta=89.99 gamma=90.00
Fractional positions:
Mg (0.0000, 0.0000, 0.0000)
Cu (0.4997, 0.9982, 0.4998)
Te (0.0025, 0.4999, 0.0006)
O (0.0001, 0.1367, 0.2849)
O (0.0001, 0.8596, 0.7162)
O (0.4987, 0.2883, 0.8753)
O (0.4986, 0.7124, 0.1247)

Top 10 peaks for 5 to 70 degrees two-theta, sorted by position:
2θ 15.77, I = 456
2θ 18.68, I = 1000
2θ 26.36, I = 414
2θ 31.85, I = 290
2θ 33.19, I = 762
2θ 33.53, I = 270
2θ 37.89, I = 251
2θ 42.75, I = 306
2θ 43.51, I = 329
2θ 51.49, I = 271